This entry pairs a crystal structure of NaMgAl2 with its calculated powder X-ray diffraction pattern. Radiation: CuKα. Structure: a structure optimized by DFT (PBE).
No peak broadening, texture or thermal motion is included.

Structure:
a = 3.345 Å, b = 3.345 Å, c = 7.752 Å
α = 90.00°, β = 90.00°, γ = 90.00°
Fractional positions:
1 Na 0.000 0.000 0.000
2 Mg 0.000 0.000 0.500
3 Al 0.500 0.500 0.286
4 Al 0.500 0.500 0.714

Top 12 peaks for 2θ from 10° to 80°, in order of rising 2θ:
2theta	I (rel.)
11.42	9
35.45	100
38.05	45
44.30	7
46.88	8
52.45	3
54.90	15
61.90	13
66.47	3
67.07	28
75.02	7
79.54	3

=====

This entry pairs a crystal structure of PaCuPt3 with its calculated powder X-ray diffraction pattern. Radiation: CuKα. Structure: a structure optimized by DFT (PBE).
No peak broadening, texture or thermal motion is included.

Structure:
a = 5.088 Å, b = 5.401 Å, c = 6.851 Å
α = 90.00°, β = 99.97°, γ = 90.00°
Fractional positions:
1 Pa 0.118 0.250 0.292
2 Pa 0.882 0.750 0.708
3 Cu 0.425 0.750 0.013
4 Cu 0.575 0.250 0.987
5 Pt 0.039 0.250 0.883
6 Pt 0.360 0.004 0.659
7 Pt 0.360 0.496 0.659
8 Pt 0.640 0.504 0.341
9 Pt 0.640 0.996 0.341
10 Pt 0.961 0.750 0.117

Top 12 peaks for 2θ from 10° to 80°, in order of rising 2θ:
2theta	I (rel.)
23.88	50
24.23	34
31.26	55
35.82	58
36.01	90
37.85	100
38.45	61
39.65	41
40.09	37
41.01	64
41.29	60
44.80	100

=====

This entry pairs a crystal structure of Ag3Pb2Cl7 with its calculated powder X-ray diffraction pattern. Radiation: CuKα. Structure: a structure optimized by DFT (PBE).
No peak broadening, texture or thermal motion is included.

Structure:
a = 13.315 Å, b = 13.315 Å, c = 7.192 Å
α = 90.00°, β = 90.00°, γ = 31.98°
Fractional positions:
1 Ag 0.087 0.502 0.423
2 Ag 0.245 0.755 0.500
3 Ag 0.498 0.913 0.423
4 Ag 0.502 0.087 0.923
5 Ag 0.755 0.245 0.000
6 Ag 0.913 0.498 0.923
7 Pb 0.133 0.659 0.976
8 Pb 0.341 0.867 0.976
9 Pb 0.659 0.133 0.476
10 Pb 0.867 0.341 0.476
11 Cl 0.053 0.244 0.143
12 Cl 0.102 0.898 0.826
13 Cl 0.159 0.427 0.070
14 Cl 0.244 0.053 0.643
15 Cl 0.335 0.514 0.329
16 Cl 0.427 0.159 0.570
17 Cl 0.486 0.665 0.329
18 Cl 0.514 0.335 0.829
19 Cl 0.573 0.841 0.070
20 Cl 0.665 0.486 0.829
21 Cl 0.756 0.947 0.143
22 Cl 0.841 0.573 0.570
23 Cl 0.898 0.102 0.326
24 Cl 0.947 0.756 0.643

Top 12 peaks for 2θ from 10° to 80°, in order of rising 2θ:
2theta	I (rel.)
17.61	10
24.27	26
24.55	100
24.76	26
27.27	12
34.94	24
35.05	14
42.87	30
43.09	14
43.44	40
50.33	14
56.85	11

=====

This entry pairs a crystal structure of ReSiAu2Br with its calculated powder X-ray diffraction pattern. Radiation: CuKα. Structure: a structure optimized by DFT (PBE).
No peak broadening, texture or thermal motion is included.

Structure:
a = 4.789 Å, b = 4.789 Å, c = 4.699 Å
α = 90.00°, β = 90.00°, γ = 90.00°
Fractional positions:
1 Re 0.000 0.000 0.000
2 Si 0.000 0.000 0.500
3 Au 0.000 0.500 0.500
4 Au 0.500 0.000 0.500
5 Br 0.500 0.500 0.000

Top 12 peaks for 2θ from 10° to 80°, in order of rising 2θ:
2theta	I (rel.)
18.53	8
18.88	6
32.59	100
37.56	41
38.31	19
42.19	2
42.36	3
54.17	14
54.73	28
64.66	28
65.67	14
68.28	14

=====

This entry pairs a crystal structure of KRb2CaF5 with its calculated powder X-ray diffraction pattern. Radiation: CuKα. Structure: a structure optimized by DFT (PBE).
No peak broadening, texture or thermal motion is included.

Structure:
a = 4.415 Å, b = 4.415 Å, c = 9.748 Å
α = 90.00°, β = 90.00°, γ = 90.00°
Fractional positions:
1 K 0.000 0.000 0.000
2 Rb 0.500 0.500 0.279
3 Rb 0.500 0.500 0.721
4 Ca 0.000 0.000 0.500
5 F 0.000 0.000 0.265
6 F 0.000 0.000 0.735
7 F 0.000 0.500 0.500
8 F 0.500 0.000 0.500
9 F 0.500 0.500 0.000

Top 12 peaks for 2θ from 10° to 80°, in order of rising 2θ:
2theta	I (rel.)
27.26	100
28.60	99
34.11	30
34.27	16
36.89	30
40.05	25
40.88	59
47.32	31
49.83	37
56.23	31
59.20	18
67.04	15

=====

This entry pairs a crystal structure of Rb4InI6 with its calculated powder X-ray diffraction pattern. Radiation: CuKα. Structure: a structure optimized by DFT (PBE).
No peak broadening, texture or thermal motion is included.

Structure:
a = 10.116 Å, b = 10.116 Å, c = 10.062 Å
α = 90.00°, β = 90.00°, γ = 90.00°
Fractional positions:
1 Rb 0.166 0.334 0.250
2 Rb 0.166 0.334 0.750
3 Rb 0.334 0.834 0.250
4 Rb 0.334 0.834 0.750
5 Rb 0.666 0.166 0.250
6 Rb 0.666 0.166 0.750
7 Rb 0.834 0.666 0.250
8 Rb 0.834 0.666 0.750
9 In 0.000 0.000 0.000
10 In 0.500 0.500 0.500
11 I 0.000 0.000 0.307
12 I 0.000 0.000 0.693
13 I 0.104 0.690 0.000
14 I 0.190 0.604 0.500
15 I 0.310 0.104 0.000
16 I 0.396 0.190 0.500
17 I 0.500 0.500 0.193
18 I 0.500 0.500 0.807
19 I 0.604 0.810 0.500
20 I 0.690 0.896 0.000
21 I 0.810 0.396 0.500
22 I 0.896 0.310 0.000

Top 12 peaks for 2θ from 10° to 80°, in order of rising 2θ:
2theta	I (rel.)
12.40	23
26.50	100
27.89	75
28.03	24
29.30	17
35.69	16
39.85	19
40.91	17
41.98	18
45.79	21
45.89	19
56.09	14

=====

This entry pairs a crystal structure of ErZn4Ir2 with its calculated powder X-ray diffraction pattern. Radiation: CuKα. Structure: a structure optimized by DFT (PBE).
No peak broadening, texture or thermal motion is included.

Structure:
a = 7.577 Å, b = 7.577 Å, c = 4.119 Å
α = 90.00°, β = 90.00°, γ = 90.00°
Fractional positions:
1 Er 0.000 0.000 0.000
2 Er 0.500 0.500 0.500
3 Zn 0.096 0.350 0.500
4 Zn 0.150 0.596 0.000
5 Zn 0.350 0.096 0.500
6 Zn 0.404 0.850 0.000
7 Zn 0.596 0.150 0.000
8 Zn 0.650 0.904 0.500
9 Zn 0.850 0.404 0.000
10 Zn 0.904 0.650 0.500
11 Ir 0.212 0.788 0.500
12 Ir 0.288 0.288 0.000
13 Ir 0.712 0.712 0.000
14 Ir 0.788 0.212 0.500

Top 12 peaks for 2θ from 10° to 80°, in order of rising 2θ:
2theta	I (rel.)
27.31	46
33.45	51
34.26	100
40.15	37
41.96	29
43.70	89
43.96	44
49.60	33
56.34	23
65.64	23
68.42	25
70.77	28

=====

This entry pairs a crystal structure of Li2Er2TmCd5 with its calculated powder X-ray diffraction pattern. Radiation: CuKα. Structure: a structure optimized by DFT (PBE).
No peak broadening, texture or thermal motion is included.

Structure:
a = 10.362 Å, b = 10.362 Å, c = 4.154 Å
α = 90.00°, β = 90.00°, γ = 90.00°
Fractional positions:
1 Li 0.115 0.385 0.000
2 Li 0.385 0.885 0.000
3 Li 0.615 0.115 0.000
4 Li 0.885 0.615 0.000
5 Er 0.179 0.679 0.000
6 Er 0.321 0.179 0.000
7 Er 0.679 0.821 0.000
8 Er 0.821 0.321 0.000
9 Tm 0.000 0.000 0.000
10 Tm 0.500 0.500 0.000
11 Cd 0.000 0.500 0.500
12 Cd 0.062 0.215 0.500
13 Cd 0.215 0.938 0.500
14 Cd 0.285 0.438 0.500
15 Cd 0.438 0.715 0.500
16 Cd 0.500 0.000 0.500
17 Cd 0.562 0.285 0.500
18 Cd 0.715 0.562 0.500
19 Cd 0.785 0.062 0.500
20 Cd 0.938 0.785 0.500

Top 12 peaks for 2θ from 10° to 80°, in order of rising 2θ:
2theta	I (rel.)
28.86	68
32.59	48
34.87	100
35.73	56
38.08	22
38.87	23
43.58	27
56.31	14
57.57	27
59.82	16
61.50	14
67.82	15

=====

- Which formula does entry 4 have?
  ReSiAu2Br